No. 1
Starting from a structure optimized by DFT (GGA-PBE), the powder diffractogram of Tb2Pm5Sm2 was simulated for Cu Kα (λ = 1.5418 Å).
Lines closer than 0.1° are merged.

Main lines, by intensity (10° ≤ 2θ ≤ 90°):
two_theta, I (rel.)
30.20, 100
34.97, 34
50.33, 30
59.78, 29
35.08, 17
59.94, 14
62.79, 12
84.43, 10
81.93, 9
50.43, 6

Crystal structure
Lattice parameters (Å, degrees): 8.110 8.110 8.094 107.57 107.57 36.91
Positions (direct):
Tb 0.055 0.055 0.335
Tb 0.945 0.945 0.665
Pm 0.166 0.166 0.001
Pm 0.278 0.278 0.666
Pm 0.500 0.500 0.000
Pm 0.722 0.722 0.334
Pm 0.834 0.834 0.999
Sm 0.390 0.390 0.334
Sm 0.610 0.610 0.666

***

No. 2
Starting from a structure optimized by DFT (GGA-PBE), the powder diffractogram of PuPAuO6 was simulated for Cu Kα (λ = 1.5418 Å).
Lines closer than 0.1° are merged.

Main lines, by intensity (10° ≤ 2θ ≤ 90°):
two_theta, I (rel.)
20.25, 100
24.16, 90
35.49, 41
32.83, 29
22.69, 28
29.95, 27
40.97, 23
36.19, 20
27.50, 19
38.86, 19

Crystal structure
Lattice parameters (Å, degrees): 5.330 5.330 6.119 96.08 96.08 122.95
Positions (direct):
Pu 0.000 0.000 0.000
P 0.660 0.340 0.000
Au 0.792 0.208 0.500
O 0.343 0.039 0.832
O 0.414 0.358 0.165
O 0.642 0.586 0.835
O 0.704 0.111 0.161
O 0.889 0.296 0.839
O 0.961 0.657 0.168

***

No. 3
Starting from a structure optimized by DFT (GGA-PBE), the powder diffractogram of Ir9Os2Ru was simulated for Cu Kα (λ = 1.5418 Å).
Lines closer than 0.1° are merged.

Main lines, by intensity (10° ≤ 2θ ≤ 90°):
two_theta, I (rel.)
40.43, 100
47.03, 49
82.86, 39
68.71, 32
87.44, 12
23.02, 1

Crystal structure
Lattice parameters (Å, degrees): 3.864 3.864 11.591 90.00 90.00 90.00
Positions (direct):
Ir 0.000 0.000 0.000
Ir 0.000 0.000 0.334
Ir 0.000 0.000 0.666
Ir 0.000 0.500 0.167
Ir 0.000 0.500 0.500
Ir 0.000 0.500 0.833
Ir 0.500 0.000 0.167
Ir 0.500 0.000 0.500
Ir 0.500 0.000 0.833
Os 0.500 0.500 0.332
Os 0.500 0.500 0.668
Ru 0.500 0.500 0.000

***

No. 4
Starting from a structure optimized by DFT (GGA-PBE), the powder diffractogram of AcSiO3 was simulated for Cu Kα (λ = 1.5418 Å).
Lines closer than 0.1° are merged.

Main lines, by intensity (10° ≤ 2θ ≤ 90°):
two_theta, I (rel.)
26.27, 100
20.38, 77
26.91, 74
30.56, 62
16.64, 53
30.05, 44
29.86, 37
42.42, 29
33.00, 26
48.43, 23

Crystal structure
Lattice parameters (Å, degrees): 6.082 11.968 4.785 90.00 102.03 90.00
Positions (direct):
Ac 0.231 0.110 0.448
Ac 0.231 0.390 0.948
Ac 0.769 0.610 0.052
Ac 0.769 0.890 0.552
Si 0.208 0.675 0.633
Si 0.208 0.825 0.133
Si 0.792 0.175 0.867
Si 0.792 0.325 0.367
O 0.067 0.158 0.915
O 0.067 0.342 0.415
O 0.260 0.705 0.313
O 0.260 0.795 0.813
O 0.370 0.573 0.774
O 0.370 0.927 0.274
O 0.630 0.073 0.726
O 0.630 0.427 0.226
O 0.740 0.205 0.187
O 0.740 0.295 0.687
O 0.933 0.658 0.585
O 0.933 0.842 0.085

***

No. 5
Starting from a structure optimized by DFT (GGA-PBE), the powder diffractogram of Rb2NdOs3O12 was simulated for Cu Kα (λ = 1.5418 Å).
Lines closer than 0.1° are merged.

Main lines, by intensity (10° ≤ 2θ ≤ 90°):
two_theta, I (rel.)
29.55, 100
28.08, 91
28.36, 74
14.65, 66
14.13, 54
27.52, 50
49.46, 47
48.06, 40
58.04, 36
28.47, 35

Crystal structure
Lattice parameters (Å, degrees): 7.578 7.578 7.578 58.21 58.21 58.21
Positions (direct):
Rb 0.120 0.120 0.120
Rb 0.880 0.880 0.880
Nd 0.500 0.500 0.500
Os 0.000 0.500 0.500
Os 0.500 0.000 0.500
Os 0.500 0.500 0.000
O 0.121 0.589 0.589
O 0.202 0.202 0.580
O 0.202 0.580 0.202
O 0.411 0.411 0.879
O 0.411 0.879 0.411
O 0.420 0.798 0.798
O 0.580 0.202 0.202
O 0.589 0.121 0.589
O 0.589 0.589 0.121
O 0.798 0.420 0.798
O 0.798 0.798 0.420
O 0.879 0.411 0.411

***

No. 6
Starting from a structure optimized by DFT (GGA-PBE), the powder diffractogram of NaH8N2 was simulated for Cu Kα (λ = 1.5418 Å).
Lines closer than 0.1° are merged.

Main lines, by intensity (10° ≤ 2θ ≤ 90°):
two_theta, I (rel.)
26.91, 100
24.72, 63
26.60, 53
27.27, 47
28.97, 39
35.27, 20
37.95, 16
47.15, 13
41.88, 12
51.62, 8

Crystal structure
Lattice parameters (Å, degrees): 7.234 7.234 6.724 93.93 93.93 63.60
Positions (direct):
Na 0.112 0.888 0.750
Na 0.888 0.112 0.250
H 0.117 0.399 0.237
H 0.169 0.574 0.121
H 0.174 0.577 0.376
H 0.365 0.377 0.247
H 0.377 0.365 0.747
H 0.399 0.117 0.737
H 0.423 0.826 0.124
H 0.426 0.831 0.379
H 0.574 0.169 0.621
H 0.577 0.174 0.876
H 0.601 0.883 0.263
H 0.623 0.635 0.253
H 0.635 0.623 0.753
H 0.826 0.423 0.624
H 0.831 0.426 0.879
H 0.883 0.601 0.763
N 0.207 0.481 0.245
N 0.481 0.207 0.745
N 0.519 0.793 0.255
N 0.793 0.519 0.755

***

No. 7
Starting from a structure optimized by DFT (GGA-PBE), the powder diffractogram of In3SbPb2S8 was simulated for Cu Kα (λ = 1.5418 Å).
Lines closer than 0.1° are merged.

Main lines, by intensity (10° ≤ 2θ ≤ 90°):
two_theta, I (rel.)
25.84, 100
23.73, 70
41.79, 50
46.85, 46
22.93, 41
40.76, 38
42.10, 28
30.98, 27
20.54, 25
53.16, 23

Crystal structure
Lattice parameters (Å, degrees): 8.762 8.762 8.762 52.55 52.55 52.55
Positions (direct):
In 0.006 0.497 0.497
In 0.497 0.006 0.497
In 0.497 0.497 0.006
Sb 0.885 0.885 0.885
Pb 0.128 0.128 0.128
Pb 0.488 0.488 0.488
S 0.246 0.246 0.715
S 0.246 0.715 0.246
S 0.269 0.758 0.758
S 0.273 0.273 0.273
S 0.715 0.246 0.246
S 0.720 0.720 0.720
S 0.758 0.269 0.758
S 0.758 0.758 0.269

***

No. 8
Starting from a structure optimized by DFT (GGA-PBE), the powder diffractogram of VNiB4 was simulated for Cu Kα (λ = 1.5418 Å).
Lines closer than 0.1° are merged.

Main lines, by intensity (10° ≤ 2θ ≤ 90°):
two_theta, I (rel.)
50.00, 100
43.66, 94
29.28, 81
31.66, 73
44.68, 72
39.59, 71
32.98, 55
47.44, 36
60.74, 28
16.32, 28

Crystal structure
Lattice parameters (Å, degrees): 5.854 10.864 3.050 90.00 90.00 90.00
Positions (direct):
V 0.095 0.135 0.000
V 0.405 0.635 0.000
V 0.595 0.365 0.000
V 0.905 0.865 0.000
Ni 0.137 0.411 0.000
Ni 0.363 0.911 0.000
Ni 0.637 0.089 0.000
Ni 0.863 0.589 0.000
B 0.004 0.703 0.500
B 0.121 0.557 0.500
B 0.133 0.972 0.500
B 0.204 0.809 0.500
B 0.296 0.309 0.500
B 0.367 0.472 0.500
B 0.379 0.057 0.500
B 0.496 0.203 0.500
B 0.504 0.797 0.500
B 0.621 0.943 0.500
B 0.633 0.528 0.500
B 0.704 0.691 0.500
B 0.796 0.191 0.500
B 0.867 0.028 0.500
B 0.879 0.443 0.500
B 0.996 0.297 0.500

***

No. 9
Starting from a structure optimized by DFT (GGA-PBE), the powder diffractogram of Pm4ZnCu3 was simulated for Cu Kα (λ = 1.5418 Å).
Lines closer than 0.1° are merged.

Main lines, by intensity (10° ≤ 2θ ≤ 90°):
two_theta, I (rel.)
31.19, 100
39.57, 45
34.14, 44
25.71, 33
53.07, 32
39.38, 30
62.33, 26
39.27, 22
33.80, 20
46.30, 19

Crystal structure
Lattice parameters (Å, degrees): 3.922 4.576 10.607 90.00 90.00 90.00
Positions (direct):
Pm 0.000 0.000 0.000
Pm 0.000 0.500 0.276
Pm 0.500 0.000 0.486
Pm 0.500 0.500 0.777
Zn 0.000 0.000 0.704
Cu 0.000 0.500 0.566
Cu 0.500 0.000 0.204
Cu 0.500 0.500 0.070

***

No. 10
Starting from a structure optimized by DFT (GGA-PBE), the powder diffractogram of Nb8AlS2 was simulated for Cu Kα (λ = 1.5418 Å).
Lines closer than 0.1° are merged.

Main lines, by intensity (10° ≤ 2θ ≤ 90°):
two_theta, I (rel.)
37.84, 100
37.19, 89
39.71, 86
36.31, 52
38.80, 45
38.66, 41
32.08, 39
42.41, 38
45.14, 38
40.41, 34

Crystal structure
Lattice parameters (Å, degrees): 7.477 7.477 5.055 93.13 93.13 42.27
Positions (direct):
Nb 0.087 0.087 0.111
Nb 0.146 0.651 0.386
Nb 0.289 0.289 0.864
Nb 0.349 0.854 0.614
Nb 0.651 0.146 0.386
Nb 0.711 0.711 0.136
Nb 0.854 0.349 0.614
Nb 0.913 0.913 0.889
Al 0.500 0.500 0.000
S 0.242 0.242 0.347
S 0.758 0.758 0.653

***

No. 11
Starting from a structure optimized by DFT (GGA-PBE), the powder diffractogram of Ce4Hg3Au2 was simulated for Cu Kα (λ = 1.5418 Å).
Lines closer than 0.1° are merged.

Main lines, by intensity (10° ≤ 2θ ≤ 90°):
two_theta, I (rel.)
34.28, 100
34.03, 85
61.23, 32
49.08, 30
61.39, 19
68.10, 18
82.30, 14
44.52, 12
72.23, 12
88.54, 10

Crystal structure
Lattice parameters (Å, degrees): 5.232 5.232 9.716 90.00 90.00 120.00
Positions (direct):
Ce 0.000 0.000 0.149
Ce 0.000 0.000 0.851
Ce 0.333 0.667 0.366
Ce 0.667 0.333 0.634
Hg 0.000 0.000 0.500
Hg 0.333 0.667 0.004
Hg 0.667 0.333 0.996
Au 0.333 0.667 0.681
Au 0.667 0.333 0.319

***

No. 12
Starting from a structure optimized by DFT (GGA-PBE), the powder diffractogram of PaSiNi3 was simulated for Cu Kα (λ = 1.5418 Å).
Lines closer than 0.1° are merged.

Main lines, by intensity (10° ≤ 2θ ≤ 90°):
two_theta, I (rel.)
32.99, 100
22.23, 70
38.48, 64
48.89, 49
29.38, 46
49.58, 45
35.95, 44
26.74, 43
45.36, 31
53.67, 28

Crystal structure
Lattice parameters (Å, degrees): 4.997 6.669 4.679 90.00 90.00 90.00
Positions (direct):
Pa 0.000 0.000 0.000
Pa 0.500 0.500 0.000
Si 0.000 0.500 0.500
Si 0.500 0.000 0.500
Ni 0.000 0.500 0.000
Ni 0.101 0.176 0.500
Ni 0.399 0.676 0.500
Ni 0.500 0.000 0.000
Ni 0.601 0.324 0.500
Ni 0.899 0.824 0.500